Starting from a structure optimized by DFT (PBE), the XRD peak list of MnNbTe2 was calculated for Cu Kα, 1.54184 Å.

Top 10 peaks for 2θ = 10–80°, in order of rising 2θ:
| 2θ (°) | I (rel.) |
| --- | --- |
| 11.33 | 78.0 |
| 28.45 | 100.0 |
| 36.45 | 61.5 |
| 37.71 | 36.4 |
| 41.19 | 47.0 |
| 43.68 | 21.7 |
| 44.56 | 24.1 |
| 48.84 | 21.8 |
| 49.90 | 30.7 |
| 58.88 | 21.7 |

Cell lengths 8.798, 6.360, 8.133 Å; angles 90.00, 117.47, 90.00 degrees
Space group P2_1/c (No. 14)
Asymmetric unit:
Mn 0.123 0.150 0.061 (multiplicity 4)
Nb 0.000 0.000 0.283 (multiplicity 4)
Te 0.210 0.743 0.105 (multiplicity 4)
Te 0.313 0.250 0.406 (multiplicity 4)

=====

Starting from a structure optimized by DFT (PBE), the XRD peak list of Mn8Nb3V was calculated for Cu Kα, 1.54184 Å.

Top 10 peaks for 2θ = 10–80°, in order of rising 2θ:
| 2θ (°) | I (rel.) |
| --- | --- |
| 11.30 | 1.2 |
| 21.78 | 1.5 |
| 28.73 | 1.3 |
| 37.58 | 43.3 |
| 44.38 | 100.0 |
| 46.46 | 27.0 |
| 67.72 | 3.6 |
| 67.85 | 10.7 |
| 72.48 | 6.9 |
| 72.58 | 21.0 |

Cell lengths 4.7837, 4.7837, 23.4876 Å; angles 90.00, 90.00, 120.00 degrees
Space group R3m (No. 160, hexagonal axes)
Asymmetric unit:
Mn 0.0000 0.0000 0.0000 (multiplicity 3)
Mn 0.0000 0.0000 0.4995 (multiplicity 3)
Mn 0.0007 0.5004 0.7511 (multiplicity 9)
Mn 0.1676 0.3351 0.5821 (multiplicity 9)
Nb 0.0000 0.0000 0.1860 (multiplicity 3)
Nb 0.0000 0.0000 0.3122 (multiplicity 3)
Nb 0.0000 0.0000 0.6895 (multiplicity 3)
V 0.0000 0.0000 0.8124 (multiplicity 3)

=====

Starting from a structure optimized by DFT (PBE), the XRD peak list of MnNb4W was calculated for Cu Kα, 1.54184 Å.

Top 10 peaks for 2θ = 10–80°, in order of rising 2θ:
| 2θ (°) | I (rel.) |
| --- | --- |
| 23.68 | 14.0 |
| 24.86 | 56.2 |
| 26.05 | 15.4 |
| 31.99 | 15.0 |
| 40.89 | 100.0 |
| 42.44 | 85.4 |
| 49.13 | 16.3 |
| 60.40 | 29.4 |
| 74.46 | 16.4 |
| 75.52 | 30.0 |

Cell lengths 4.4140, 4.4140, 20.5224 Å; angles 90.00, 90.00, 120.00 degrees
Space group R-3m (No. 166, hexagonal axes)
Asymmetric unit:
Mn 0.0000 0.0000 0.0000 (multiplicity 3)
Nb 0.0000 0.0000 0.1189 (multiplicity 6)
Nb 0.0000 0.0000 0.3698 (multiplicity 6)
W 0.0000 0.0000 0.5000 (multiplicity 3)

=====

Starting from a structure optimized by DFT (PBE), the XRD peak list of YMn3Nb was calculated for Cu Kα, 1.54184 Å.

Top 10 peaks for 2θ = 10–80°, in order of rising 2θ:
| 2θ (°) | I (rel.) |
| --- | --- |
| 18.75 | 19.1 |
| 26.64 | 70.6 |
| 32.78 | 43.3 |
| 38.03 | 100.0 |
| 47.04 | 29.4 |
| 54.88 | 65.1 |
| 62.02 | 12.9 |
| 65.41 | 14.8 |
| 68.71 | 21.1 |
| 75.12 | 14.6 |

Cell lengths 4.732, 4.732, 4.732 Å; angles 90.00, 90.00, 90.00 degrees
Space group Pm-3m (No. 221)
Asymmetric unit:
Y 0.000 0.000 0.000 (multiplicity 1)
Mn 0.000 0.500 0.500 (multiplicity 3)
Nb 0.500 0.500 0.500 (multiplicity 1)

=====

Starting from a structure optimized by DFT (PBE), the XRD peak list of Mn2NbZn was calculated for Cu Kα, 1.54184 Å.

Top 10 peaks for 2θ = 10–80°, in order of rising 2θ:
| 2θ (°) | I (rel.) |
| --- | --- |
| 21.75 | 2.3 |
| 27.05 | 3.0 |
| 30.95 | 4.3 |
| 41.56 | 100.0 |
| 44.34 | 41.2 |
| 52.71 | 2.1 |
| 55.78 | 10.0 |
| 64.51 | 12.5 |
| 73.88 | 16.4 |
| 79.71 | 26.4 |

Cell lengths 4.086, 4.086, 3.296 Å; angles 90.00, 90.00, 90.00 degrees
Space group P4/mmm (No. 123)
Asymmetric unit:
Mn 0.000 0.500 0.000 (multiplicity 2)
Nb 0.000 0.000 0.500 (multiplicity 1)
Zn 0.500 0.500 0.500 (multiplicity 1)

=====

Starting from a structure optimized by DFT (PBE), the XRD peak list of ZrMnNb2 was calculated for Cu Kα, 1.54184 Å.

Top 10 peaks for 2θ = 10–80°, in order of rising 2θ:
| 2θ (°) | I (rel.) |
| --- | --- |
| 31.29 | 13.5 |
| 37.23 | 8.3 |
| 38.13 | 100.0 |
| 41.03 | 47.7 |
| 50.38 | 6.4 |
| 56.59 | 9.8 |
| 59.42 | 15.4 |
| 66.91 | 10.5 |
| 71.87 | 7.7 |
| 72.82 | 27.7 |

Cell lengths 3.111, 3.111, 7.246 Å; angles 90.00, 90.00, 90.00 degrees
Space group P4/mmm (No. 123)
Asymmetric unit:
Zr 0.000 0.000 0.000 (multiplicity 1)
Mn 0.000 0.000 0.500 (multiplicity 1)
Nb 0.500 0.500 0.293 (multiplicity 2)

=====

Starting from a structure optimized by DFT (PBE), the XRD peak list of NdMn2 was calculated for Cu Kα, 1.54184 Å.

Top 10 peaks for 2θ = 10–80°, in order of rising 2θ:
| 2θ (°) | I (rel.) |
| --- | --- |
| 28.56 | 10.7 |
| 32.28 | 44.1 |
| 37.45 | 10.4 |
| 37.76 | 49.2 |
| 39.14 | 100.0 |
| 57.57 | 8.4 |
| 61.22 | 25.5 |
| 62.22 | 16.3 |
| 67.56 | 15.1 |
| 69.18 | 16.3 |

Cell lengths 5.5459, 5.5459, 8.2323 Å; angles 90.00, 90.00, 120.00 degrees
Space group P6_3/mmc (No. 194)
Asymmetric unit:
Nd 0.3333 0.6667 0.0584 (multiplicity 4)
Mn 0.0000 0.0000 0.0000 (multiplicity 2)
Mn 0.1607 0.3214 0.7500 (multiplicity 6)

=====

Starting from a structure optimized by DFT (PBE), the XRD peak list of NdMn6 was calculated for Cu Kα, 1.54184 Å.

Top 10 peaks for 2θ = 10–80°, in order of rising 2θ:
| 2θ (°) | I (rel.) |
| --- | --- |
| 20.53 | 2.6 |
| 29.20 | 44.0 |
| 35.96 | 100.0 |
| 46.97 | 0.9 |
| 51.77 | 5.7 |
| 56.27 | 52.4 |
| 60.54 | 17.6 |
| 68.61 | 14.0 |
| 72.47 | 11.9 |
| 79.97 | 0.9 |

Cell lengths 6.117, 6.117, 6.117 Å; angles 90.00, 90.00, 90.00 degrees
Space group Im-3m (No. 229)
Asymmetric unit:
Nd 0.000 0.000 0.000 (multiplicity 2)
Mn 0.000 0.250 0.500 (multiplicity 12)